Entry 1:
PtSF: simulated PXRD pattern (Cu Kα), based on the PBE geometry in Alexandria.

Top 12 peaks for 2θ = 5–70°, low angle first:
2θ 17.7, intensity 100; 2θ 29.7, intensity 65; 2θ 30.3, intensity 20; 2θ 31.9, intensity 31; 2θ 37.3, intensity 33; 2θ 38.7, intensity 13; 2θ 40.3, intensity 12; 2θ 42.8, intensity 21; 2θ 51.1, intensity 28; 2θ 53.5, intensity 11; 2θ 55.5, intensity 10; 2θ 55.6, intensity 10

Structure:
abc: 6.238 3.509 10.410
angles: 90.00 105.25 90.00
Positions (direct):
Pt 0.000 0.000 0.000
Pt 0.018 0.500 0.530
Pt 0.495 0.500 0.002
Pt 0.524 0.000 0.523
S 0.136 0.000 0.408
S 0.213 0.500 0.094
S 0.641 0.500 0.418
S 0.903 0.000 0.655
F 0.374 0.500 0.634
F 0.408 0.000 0.884
F 0.611 0.000 0.122
F 0.785 0.500 0.918

---

Entry 2:
Dy3PaCo8: simulated PXRD pattern (Cu Kα), based on the PBE geometry in Alexandria.

Top 12 peaks for 2θ = 5–70°, low angle first:
2θ 21.6, intensity 27; 2θ 35.7, intensity 94; 2θ 42.1, intensity 100; 2θ 42.1, intensity 33; 2θ 43.9, intensity 4; 2θ 44.1, intensity 13; 2θ 56.2, intensity 4; 2θ 56.4, intensity 4; 2θ 63.9, intensity 9; 2θ 64.1, intensity 26; 2θ 68.4, intensity 23; 2θ 68.5, intensity 15

Structure:
abc: 8.741 8.741 8.741
angles: 33.44 33.44 33.44
Positions (direct):
Dy 0.000 0.000 0.000
Dy 0.125 0.125 0.125
Dy 0.627 0.627 0.627
Pa 0.502 0.502 0.502
Co 0.063 0.063 0.560
Co 0.063 0.560 0.063
Co 0.067 0.563 0.563
Co 0.314 0.314 0.314
Co 0.560 0.063 0.063
Co 0.563 0.067 0.563
Co 0.563 0.563 0.067
Co 0.813 0.813 0.813

---

Entry 3:
Na2LiCuO4: simulated PXRD pattern (Cu Kα), based on the PBE geometry in Alexandria.

Top 12 peaks for 2θ = 5–70°, low angle first:
2θ 21.8, intensity 26; 2θ 22.1, intensity 100; 2θ 31.1, intensity 44; 2θ 38.5, intensity 62; 2θ 44.5, intensity 27; 2θ 45.0, intensity 63; 2θ 50.2, intensity 7; 2θ 55.7, intensity 21; 2θ 60.3, intensity 11; 2θ 60.6, intensity 7; 2θ 61.1, intensity 14; 2θ 69.4, intensity 9

Structure:
abc: 5.754 5.754 5.638
angles: 90.00 90.00 90.00
Positions (direct):
Na 0.000 0.500 0.000
Na 0.000 0.500 0.500
Na 0.500 0.000 0.000
Na 0.500 0.000 0.500
Li 0.000 0.000 0.000
Li 0.500 0.500 0.500
Cu 0.000 0.000 0.500
Cu 0.500 0.500 0.000
O 0.153 0.153 0.270
O 0.153 0.847 0.730
O 0.347 0.347 0.770
O 0.347 0.653 0.230
O 0.653 0.347 0.230
O 0.653 0.653 0.770
O 0.847 0.153 0.730
O 0.847 0.847 0.270